LiBi3PbWClO8: calculated powder diffraction line list (Cu Kα, 1.54184 Å), based on a crystal structure in Alexandria, relaxed with GGA+U.

Structure:
a = 4.0857 Å, b = 4.1153 Å, c = 15.2854 Å
α = 90.00°, β = 90.00°, γ = 90.00°
Sites, in units of the cell vectors:
1 Li 0.0000 0.0000 0.0000
2 Bi 0.0000 0.5000 0.1565
3 Bi 0.0000 0.5000 0.7690
4 Bi 0.5000 0.0000 0.3054
5 Pb 0.5000 0.0000 0.6134
6 W 0.0000 0.5000 0.4371
7 Cl 0.5000 0.0000 0.9420
8 O 0.0000 0.0000 0.2029
9 O 0.0000 0.0000 0.4206
10 O 0.0000 0.0000 0.7098
11 O 0.0000 0.5000 0.3070
12 O 0.0000 0.5000 0.5580
13 O 0.5000 0.5000 0.2062
14 O 0.5000 0.5000 0.4211
15 O 0.5000 0.5000 0.7087

Most intense lines, 2θ from 10° to 90°, by intensity:
hkl 0 1 3, d 3.201, I 100
hkl 1 0 3, d 3.187, I 98
hkl 1 1 0, d 2.899, I 82
hkl 0 0 2, d 7.643, I 36
hkl 1 1 6, d 1.914, I 36
hkl 1 2 3, d 1.729, I 35